Record 1
Calculated XRD peak list of Ce4InOs2 for a wavelength of 1.5418 Å, from a crystal structure in Alexandria, relaxed with GGA-PBE.
Lines closer than 0.1° are merged.

Structure:
Unit cell a=6.9806 b=7.3512 c=7.7922 alpha=108.46 beta=104.77 gamma=105.10
Fractional positions:
Ce  0.0000  0.0000  0.0000
Ce  0.0012  0.4019  0.7621
Ce  0.0958  0.3955  0.3093
Ce  0.1999  0.0124  0.5609
Ce  0.4061  0.8801  0.8345
Ce  0.5575  0.2543  0.2785
Ce  0.6898  0.8888  0.6043
Ce  0.7743  0.6418  0.1562
In  0.3354  0.7528  0.1838
In  0.5363  0.4774  0.7011
Os  0.3301  0.3244  0.9966
Os  0.6951  0.2586  0.9211
Os  0.8099  0.0231  0.3314
Os  0.9346  0.6434  0.5742

Most intense lines, 10° ≤ 2θ ≤ 90°, sorted by position:
30.76°, 2.907 Å, rel. 24
31.77°, 2.817 Å, rel. 36
33.79°, 2.653 Å, rel. 100
34.20°, 2.622 Å, rel. 20
34.48°, 2.601 Å, rel. 30
35.64°, 2.519 Å, rel. 23
38.76°, 2.323 Å, rel. 24
39.65°, 2.273 Å, rel. 20
41.87°, 2.158 Å, rel. 26
43.66°, 2.073 Å, rel. 22


Record 2
Calculated XRD peak list of NpTl2Bi2S6 for a wavelength of 1.5418 Å, from a crystal structure in Alexandria, relaxed with GGA-PBE.
Lines closer than 0.1° are merged.

Structure:
Unit cell a=7.0794 b=7.0794 c=7.9157 alpha=98.85 beta=98.85 gamma=119.93
Fractional positions:
Np  0.0000  0.0000  0.0000
Tl  0.1686  0.8314  0.5000
Tl  0.8314  0.1686  0.5000
Bi  0.3320  0.6680  0.0000
Bi  0.6680  0.3320  0.0000
S  0.0653  0.3872  0.1991
S  0.2444  0.2444  0.7976
S  0.3872  0.0653  0.1991
S  0.6128  0.9347  0.8009
S  0.7556  0.7556  0.2024
S  0.9347  0.6128  0.8009

Most intense lines, 10° ≤ 2θ ≤ 90°, sorted by position:
11.75°, 7.532 Å, rel. 27
14.99°, 5.908 Å, rel. 19
23.62°, 3.766 Å, rel. 44
26.38°, 3.379 Å, rel. 95
29.63°, 3.015 Å, rel. 51
29.85°, 2.993 Å, rel. 100
40.78°, 2.213 Å, rel. 41
41.06°, 2.198 Å, rel. 20
44.31°, 2.044 Å, rel. 52
54.24°, 1.691 Å, rel. 19